# U8TiS17
Calculated XRD peak list, Cu Kα (weighted mean of Kα1 and Kα2). Input: the PBE geometry in Alexandria.

Most intense lines, 15 to 90 degrees two-theta, low angle first:
(2 0 -2), 2θ = 20.10°, intensity 40
(2 0 2), 2θ = 24.26°, intensity 59
(2 2 0), 2θ = 25.34°, intensity 100
(2 2 -1), 2θ = 25.96°, intensity 58
(2 0 -3), 2θ = 27.34°, intensity 56
(0 2 2), 2θ = 27.61°, intensity 83
(4 2 -3), 2θ = 40.90°, intensity 40
(0 4 0), 2θ = 43.18°, intensity 37

Cell and atoms:
```
data_U8TiS17
_cell_length_a 13.1522
_cell_length_b 8.3806
_cell_length_c 10.3438
_cell_angle_alpha 90.00
_cell_angle_beta 100.91
_cell_angle_gamma 90.00
_space_group_name_H-M_alt 'C 1 2/m 1'
_space_group_IT_number 12
loop_
_space_group_symop_operation_xyz
'x,y,z'
'-x,-y,-z'
'-x,y,-z'
'x,-y,z'
'x+1/2,y+1/2,z'
'-x+1/2,-y+1/2,-z'
'-x+1/2,y+1/2,-z'
'x+1/2,-y+1/2,z'
loop_
_atom_site_label
_atom_site_fract_x
_atom_site_fract_y
_atom_site_fract_z
U1 0.0589 0.2422 0.2013
U2 0.1852 0.5000 0.5166
U3 0.2045 0.0000 0.9585
Ti1 0.0000 0.0000 0.5000
S1 0.0000 0.0000 0.0000
S2 0.0213 0.5000 0.6686
S3 0.0615 0.0000 0.7302
S4 0.1267 0.3056 0.9647
S5 0.1314 0.1938 0.4707
S6 0.1976 0.5000 0.2540
S7 0.2113 0.0000 0.2232
```

# UTi3S8
Calculated XRD peak list, Cu Kα (weighted mean of Kα1 and Kα2). Input: the PBE geometry in Alexandria.

Most intense lines, 15 to 90 degrees two-theta, low angle first:
(1 1 0), 2θ = 15.07°, intensity 68
(1 1 -1), 2θ = 16.91°, intensity 43
(4 0 -1), 2θ = 29.36°, intensity 72
(2 2 -2), 2θ = 34.20°, intensity 100
(4 0 0), 2θ = 34.54°, intensity 49
(2 2 -3), 2θ = 43.32°, intensity 33
(2 2 2), 2θ = 47.32°, intensity 34
(0 4 0), 2θ = 51.41°, intensity 45

Cell and atoms:
```
data_UTi3S8
_cell_length_a 12.3155
_cell_length_b 7.1094
_cell_length_c 7.8156
_cell_angle_alpha 90.00
_cell_angle_beta 122.49
_cell_angle_gamma 90.00
_space_group_name_H-M_alt 'C 1 2/m 1'
_space_group_IT_number 12
loop_
_space_group_symop_operation_xyz
'x,y,z'
'-x,-y,-z'
'-x,y,-z'
'x,-y,z'
'x+1/2,y+1/2,z'
'-x+1/2,-y+1/2,-z'
'-x+1/2,y+1/2,-z'
'x+1/2,-y+1/2,z'
loop_
_atom_site_label
_atom_site_fract_x
_atom_site_fract_y
_atom_site_fract_z
U1 0.0000 0.0000 0.0000
Ti1 0.0000 0.5000 0.0000
Ti2 0.2500 0.2500 0.0000
S1 0.0140 0.2632 0.7835
S2 0.2375 0.5000 0.2079
S3 0.2493 0.0000 0.2165
```

# TiV3S6
Calculated XRD peak list, Cu Kα (weighted mean of Kα1 and Kα2). Input: the PBE geometry in Alexandria.

Most intense lines, 15 to 90 degrees two-theta, low angle first:
(0 1 2), 2θ = 20.42°, intensity 49
(1 0 4), 2θ = 27.57°, intensity 25
(1 1 0), 2θ = 30.42°, intensity 17
(1 1 3), 2θ = 34.49°, intensity 74
(1 1 6), 2θ = 44.76°, intensity 100
(3 0 0), 2θ = 54.06°, intensity 48
(2 -1 9), 2θ = 58.69°, intensity 13
(4 -2 6), 2θ = 72.72°, intensity 21

Cell and atoms:
```
data_TiV3S6
_cell_length_a 5.8765
_cell_length_b 5.8765
_cell_length_c 16.7611
_cell_angle_alpha 90.00
_cell_angle_beta 90.00
_cell_angle_gamma 120.00
_space_group_name_H-M_alt 'R 3'
_space_group_IT_number 146
_space_group_name_Hall 'R 3'
loop_
_atom_site_label
_atom_site_fract_x
_atom_site_fract_y
_atom_site_fract_z
Ti1 0.0000 0.0000 0.0000
V1 0.0000 0.0000 0.3297
V2 0.0000 0.0000 0.4989
V3 0.0000 0.0000 0.8314
S1 0.0004 0.6687 0.2464
S2 0.0016 0.3388 0.0818
```

# TiV2S5
Calculated XRD peak list, Cu Kα (weighted mean of Kα1 and Kα2). Input: the PBE geometry in Alexandria.

Most intense lines, 15 to 90 degrees two-theta, low angle first:
(1 1 3), 2θ = 30.25°, intensity 21
(1 3 3), 2θ = 36.70°, intensity 100
(0 4 4), 2θ = 40.76°, intensity 27
(2 0 0), 2θ = 41.18°, intensity 50
(2 0 2), 2θ = 43.69°, intensity 32
(0 6 0), 2θ = 43.91°, intensity 32
(1 3 5), 2θ = 46.88°, intensity 64
(2 6 0), 2θ = 61.76°, intensity 21

Cell and atoms:
```
data_TiV2S5
_cell_length_a 4.3846
_cell_length_b 12.3712
_cell_length_c 12.6808
_cell_angle_alpha 90.00
_cell_angle_beta 90.00
_cell_angle_gamma 90.00
_space_group_name_H-M_alt 'F m m m'
_space_group_IT_number 69
_space_group_name_Hall '-F 2 2'
loop_
_atom_site_label
_atom_site_fract_x
_atom_site_fract_y
_atom_site_fract_z
Ti1 0.0000 0.0000 0.0000
V1 0.0000 0.1899 0.5000
S1 0.0000 0.0000 0.5000
S2 0.0000 0.1632 0.1175
```

# Ti2VS4
Calculated XRD peak list, Cu Kα (weighted mean of Kα1 and Kα2). Input: the PBE geometry in Alexandria.

Most intense lines, 15 to 90 degrees two-theta, low angle first:
(2 0 -1), 2θ = 16.69°, intensity 52
(4 0 -2), 2θ = 33.79°, intensity 43
(1 1 1), 2θ = 34.25°, intensity 100
(2 0 2), 2θ = 43.25°, intensity 36
(6 0 -2), 2θ = 43.54°, intensity 33
(3 1 1), 2θ = 43.79°, intensity 62
(5 1 -1), 2θ = 43.93°, intensity 73
(3 1 -3), 2θ = 53.45°, intensity 59

Cell and atoms:
```
data_Ti2VS4
_cell_length_a 13.0509
_cell_length_b 3.3595
_cell_length_c 5.9796
_cell_angle_alpha 90.00
_cell_angle_beta 116.90
_cell_angle_gamma 90.00
_space_group_name_H-M_alt 'C 1 2/m 1'
_space_group_IT_number 12
loop_
_space_group_symop_operation_xyz
'x,y,z'
'-x,-y,-z'
'-x,y,-z'
'x,-y,z'
'x+1/2,y+1/2,z'
'-x+1/2,-y+1/2,-z'
'-x+1/2,y+1/2,-z'
'x+1/2,-y+1/2,z'
loop_
_atom_site_label
_atom_site_fract_x
_atom_site_fract_y
_atom_site_fract_z
Ti1 0.2453 0.0000 0.2236
V1 0.0000 0.5000 0.5000
S1 0.1177 0.5000 0.9464
S2 0.1272 0.0000 0.4627
```

# Y2TiS4
Calculated XRD peak list, Cu Kα (weighted mean of Kα1 and Kα2). Input: the PBE geometry in Alexandria.

Most intense lines, 15 to 90 degrees two-theta, low angle first:
(2 0 0), 2θ = 15.16°, intensity 60
(2 0 -2), 2θ = 25.77°, intensity 35
(1 1 -1), 2θ = 26.67°, intensity 64
(4 0 -2), 2θ = 30.34°, intensity 53
(1 1 1), 2θ = 30.66°, intensity 100
(3 1 1), 2θ = 40.78°, intensity 41
(5 1 -1), 2θ = 41.25°, intensity 59
(3 1 -3), 2θ = 46.00°, intensity 58

Cell and atoms:
```
data_Y2TiS4
_cell_length_a 13.4488
_cell_length_b 3.8190
_cell_length_c 6.9159
_cell_angle_alpha 90.00
_cell_angle_beta 119.61
_cell_angle_gamma 90.00
_space_group_name_H-M_alt 'C 1 2/m 1'
_space_group_IT_number 12
loop_
_space_group_symop_operation_xyz
'x,y,z'
'-x,-y,-z'
'-x,y,-z'
'x,-y,z'
'x+1/2,y+1/2,z'
'-x+1/2,-y+1/2,-z'
'-x+1/2,y+1/2,-z'
'x+1/2,-y+1/2,z'
loop_
_atom_site_label
_atom_site_fract_x
_atom_site_fract_y
_atom_site_fract_z
Y1 0.2262 0.0000 0.2167
Ti1 0.0000 0.5000 0.5000
S1 0.1107 0.5000 0.9124
S2 0.1262 0.0000 0.4889
```

# Ti9ZnS16
Calculated XRD peak list, Cu Kα (weighted mean of Kα1 and Kα2). Input: the PBE geometry in Alexandria.

Most intense lines, 15 to 90 degrees two-theta, low angle first:
(1 0 0), 2θ = 15.36°, intensity 26
(0 2 1), 2θ = 15.56°, intensity 23
(1 4 -2), 2θ = 30.01°, intensity 26
(2 4 -2), 2θ = 36.25°, intensity 100
(0 0 4), 2θ = 36.48°, intensity 50
(4 0 -4), 2θ = 52.04°, intensity 64
(0 8 0), 2θ = 52.42°, intensity 19
(2 4 -6), 2θ = 52.66°, intensity 41

Cell and atoms:
```
data_Ti9ZnS16
_cell_length_a 7.0381
_cell_length_b 13.9650
_cell_length_c 12.0241
_cell_angle_alpha 90.00
_cell_angle_beta 124.97
_cell_angle_gamma 90.00
_space_group_name_H-M_alt 'P 1 c 1'
_space_group_IT_number 7
loop_
_space_group_symop_operation_xyz
'x,y,z'
'x,-y,z+1/2'
loop_
_atom_site_label
_atom_site_fract_x
_atom_site_fract_y
_atom_site_fract_z
Ti1 0.0000 0.0046 0.0000
Ti2 0.0029 0.2368 0.5026
Ti3 0.0036 0.3660 0.2433
Ti4 0.0071 0.2446 0.0064
Ti5 0.0116 0.1193 0.7515
Ti6 0.0126 0.4841 0.0090
Ti7 0.4794 0.3655 0.2400
Ti8 0.4932 0.1217 0.7502
Ti9 0.9964 0.1258 0.2427
Zn1 0.6244 0.3773 0.6223
S1 0.2256 0.3742 0.4937
S2 0.2443 0.1231 0.9979
S3 0.2441 0.3702 0.9963
S4 0.2473 0.2440 0.7461
S5 0.2505 0.4909 0.2485
S6 0.2533 0.1209 0.4994
S7 0.2572 0.0046 0.2523
S8 0.2618 0.2426 0.2568
S9 0.7400 0.1237 0.9976
S10 0.7494 0.2450 0.2481
S11 0.7518 0.0008 0.2496
S12 0.7557 0.2400 0.7554
S13 0.7557 0.4876 0.2562
S14 0.7569 0.3695 0.0006
S15 0.7607 0.1207 0.5045
S16 0.7663 0.3752 0.4920
```

# Zr3TiS4
Calculated XRD peak list, Cu Kα (weighted mean of Kα1 and Kα2). Input: the PBE geometry in Alexandria.

Most intense lines, 15 to 90 degrees two-theta, low angle first:
(0 0 2), 2θ = 26.57°, intensity 76
(2 1 0), 2θ = 27.74°, intensity 100
(0 2 1), 2θ = 29.16°, intensity 52
(2 1 1), 2θ = 30.83°, intensity 95
(2 2 1), 2θ = 38.43°, intensity 44
(2 1 2), 2θ = 38.79°, intensity 58
(0 3 1), 2θ = 41.60°, intensity 57
(2 2 2), 2θ = 45.24°, intensity 41

Cell and atoms:
```
data_Zr3TiS4
_cell_length_a 7.2741
_cell_length_b 6.8830
_cell_length_c 6.7092
_cell_angle_alpha 90.00
_cell_angle_beta 90.00
_cell_angle_gamma 90.00
_space_group_name_H-M_alt 'P m n 21'
_space_group_IT_number 31
loop_
_space_group_symop_operation_xyz
'x,y,z'
'-x+1/2,-y,z+1/2'
'-x,y,z'
'x+1/2,-y,z+1/2'
loop_
_atom_site_label
_atom_site_fract_x
_atom_site_fract_y
_atom_site_fract_z
Zr1 0.0000 0.1949 0.0000
Zr2 0.2465 0.4080 0.5947
Ti1 0.0000 0.7816 0.5065
S1 0.0000 0.1405 0.6301
S2 0.0000 0.8467 0.1614
S3 0.2414 0.7478 0.7405
```

# ZrTiS6
Calculated XRD peak list, Cu Kα (weighted mean of Kα1 and Kα2). Input: the PBE geometry in Alexandria.

Most intense lines, 15 to 90 degrees two-theta, low angle first:
(0 0 2), 2θ = 18.58°, intensity 21
(1 0 -1), 2θ = 18.85°, intensity 40
(1 0 1), 2θ = 20.64°, intensity 38
(0 1 2), 2θ = 31.44°, intensity 100
(0 1 3), 2θ = 38.00°, intensity 29
(1 1 -3), 2θ = 40.71°, intensity 23
(1 1 3), 2θ = 43.42°, intensity 25
(2 1 1), 2θ = 45.71°, intensity 21

Cell and atoms:
```
data_ZrTiS6
_cell_length_a 5.1198
_cell_length_b 3.5443
_cell_length_c 9.6051
_cell_angle_alpha 90.00
_cell_angle_beta 96.20
_cell_angle_gamma 90.00
_space_group_name_H-M_alt 'P 1 m 1'
_space_group_IT_number 6
loop_
_space_group_symop_operation_xyz
'x,y,z'
'x,-y,z'
loop_
_atom_site_label
_atom_site_fract_x
_atom_site_fract_y
_atom_site_fract_z
Zr1 0.0000 0.0000 0.0000
Ti1 0.4420 0.5000 0.7140
S1 0.2119 0.0000 0.5589
S2 0.2371 0.5000 0.1694
S3 0.4795 0.0000 0.8990
S4 0.6102 0.0000 0.5596
S5 0.8310 0.5000 0.1691
S6 0.9600 0.5000 0.8022
```

# Zr3TiS
Calculated XRD peak list, Cu Kα (weighted mean of Kα1 and Kα2). Input: the PBE geometry in Alexandria.

Most intense lines, 15 to 90 degrees two-theta, low angle first:
(0 2 2), 2θ = 32.89°, intensity 93
(2 2 0), 2θ = 33.05°, intensity 100
(0 4 0), 2θ = 37.44°, intensity 51
(2 0 2), 2θ = 38.65°, intensity 91
(2 4 2), 2θ = 54.91°, intensity 60
(2 6 0), 2θ = 64.73°, intensity 23
(2 2 4), 2θ = 66.22°, intensity 17
(4 2 2), 2θ = 66.51°, intensity 23

Cell and atoms:
```
data_Zr3TiS
_cell_length_a 6.5654
_cell_length_b 9.6080
_cell_length_c 6.6120
_cell_angle_alpha 90.00
_cell_angle_beta 90.00
_cell_angle_gamma 90.00
_space_group_name_H-M_alt 'I m m a'
_space_group_IT_number 74
_space_group_name_Hall '-I 2b 2'
loop_
_atom_site_label
_atom_site_fract_x
_atom_site_fract_y
_atom_site_fract_z
Zr1 0.0000 0.2500 0.0409
Zr2 0.2500 0.0117 0.2500
Ti1 0.0000 0.2500 0.4866
S1 0.2500 0.2500 0.7500
```

# ZrTi4S
Calculated XRD peak list, Cu Kα (weighted mean of Kα1 and Kα2). Input: the PBE geometry in Alexandria.

Most intense lines, 15 to 90 degrees two-theta, low angle first:
(3 1 1), 2θ = 33.55°, intensity 21
(4 0 -2), 2θ = 34.49°, intensity 36
(2 2 -1), 2θ = 36.97°, intensity 69
(1 1 2), 2θ = 37.87°, intensity 100
(7 1 -1), 2θ = 48.88°, intensity 32
(3 3 1), 2θ = 58.72°, intensity 20
(3 1 -4), 2θ = 64.03°, intensity 16
(8 2 1), 2θ = 73.15°, intensity 14

Cell and atoms:
```
data_ZrTi4S
_cell_length_a 13.8629
_cell_length_b 5.5013
_cell_length_c 6.0324
_cell_angle_alpha 90.00
_cell_angle_beta 108.16
_cell_angle_gamma 90.00
_space_group_name_H-M_alt 'C 1 2/c 1'
_space_group_IT_number 15
loop_
_space_group_symop_operation_xyz
'x,y,z'
'-x,-y,-z'
'-x,y,-z+1/2'
'x,-y,z+1/2'
'x+1/2,y+1/2,z'
'-x+1/2,-y+1/2,-z'
'-x+1/2,y+1/2,-z+1/2'
'x+1/2,-y+1/2,z+1/2'
loop_
_atom_site_label
_atom_site_fract_x
_atom_site_fract_y
_atom_site_fract_z
Zr1 0.0000 0.1057 0.2500
Ti1 0.0887 0.4210 0.9536
Ti2 0.1962 0.1091 0.6225
S1 0.2500 0.2500 0.0000
```

# ZrTiS4
Calculated XRD peak list, Cu Kα (weighted mean of Kα1 and Kα2). Input: the PBE geometry in Alexandria.

Most intense lines, 15 to 90 degrees two-theta, low angle first:
(0 1 1), 2θ = 21.14°, intensity 100
(2 1 -1), 2θ = 29.51°, intensity 32
(0 1 2), 2θ = 32.77°, intensity 36
(2 1 -2), 2θ = 32.96°, intensity 17
(2 1 1), 2θ = 41.44°, intensity 15
(2 1 -3), 2θ = 41.68°, intensity 16
(2 2 0), 2θ = 43.07°, intensity 52
(2 2 -2), 2θ = 43.22°, intensity 26

Cell and atoms:
```
data_ZrTiS4
_cell_length_a 7.1525
_cell_length_b 5.6856
_cell_length_c 7.1744
_cell_angle_alpha 90.00
_cell_angle_beta 119.52
_cell_angle_gamma 90.00
_space_group_name_H-M_alt 'P 1 21/c 1'
_space_group_IT_number 14
loop_
_space_group_symop_operation_xyz
'x,y,z'
'-x,-y,-z'
'-x,y+1/2,-z+1/2'
'x,-y+1/2,z+1/2'
loop_
_atom_site_label
_atom_site_fract_x
_atom_site_fract_y
_atom_site_fract_z
Zr1 0.0000 0.0000 0.0000
Ti1 0.5000 0.0000 0.0000
S1 0.1835 0.2368 0.8387
S2 0.3444 0.7413 0.6647
```